1.
K2CuBiF6: theoretical X-ray powder pattern (λ = 1.5418 Å (Cu Kα)), based on the GGA-PBE geometry in the Materials Project.

Cell and atoms:
Unit cell a=6.3295 b=6.3295 c=6.3295 alpha=60.00 beta=60.00 gamma=60.00
Fractional positions:
K: 0.2500 0.2500 0.2500
K: 0.7500 0.7500 0.7500
Cu: 0.0000 0.0000 0.0000
Bi: 0.5000 0.5000 0.5000
F: 0.2449 0.2449 0.7551
F: 0.2449 0.7551 0.2449
F: 0.2449 0.7551 0.7551
F: 0.7551 0.2449 0.2449
F: 0.7551 0.2449 0.7551
F: 0.7551 0.7551 0.2449

Most intense lines, 2θ from 10° to 80°, by angle:
2θ (°)	intensity
17.2	36
19.8	62
28.2	100
33.2	25
40.3	42
45.3	31
49.9	41
58.3	26
62.2	15
66.0	18



2.
Cs2Re2Se5: theoretical X-ray powder pattern (λ = 1.5418 Å (Cu Kα)), based on the GGA-PBE geometry in the Materials Project.

Cell and atoms:
Unit cell a=12.9546 b=12.9546 c=12.9546 alpha=70.01 beta=70.01 gamma=70.01
Fractional positions:
Cs: 0.0348 0.8209 0.6227
Cs: 0.1227 0.3209 0.5348
Cs: 0.1791 0.3773 0.9652
Cs: 0.3209 0.5348 0.1227
Cs: 0.3773 0.9652 0.1791
Cs: 0.4652 0.8773 0.6791
Cs: 0.5348 0.1227 0.3209
Cs: 0.6227 0.0348 0.8209
Cs: 0.6791 0.4652 0.8773
Cs: 0.8209 0.6227 0.0348
Cs: 0.8773 0.6791 0.4652
Cs: 0.9652 0.1791 0.3773
Re: 0.0534 0.9272 0.1314
Re: 0.0728 0.8686 0.9466
Re: 0.1314 0.0534 0.9272
Re: 0.3686 0.5728 0.4466
Re: 0.4272 0.5534 0.6314
Re: 0.4466 0.3686 0.5728
Re: 0.5534 0.6314 0.4272
Re: 0.5728 0.4466 0.3686
Re: 0.6314 0.4272 0.5534
Re: 0.8686 0.9466 0.0728
Re: 0.9272 0.1314 0.0534
Re: 0.9466 0.0728 0.8686
Se: 0.0043 0.2471 0.8541
Se: 0.1075 0.1075 0.1075
Se: 0.1286 0.8526 0.3136
Se: 0.1459 0.9957 0.7529
Se: 0.1474 0.6864 0.8714
Se: 0.1864 0.6474 0.3714
Se: 0.2471 0.8541 0.0043
Se: 0.2500 0.2500 0.2500
Se: 0.2529 0.4957 0.6459
Se: 0.3136 0.1286 0.8526
Se: 0.3526 0.6286 0.8136
Se: 0.3541 0.7471 0.5043
Se: 0.3714 0.1864 0.6474
Se: 0.3925 0.3925 0.3925
Se: 0.4957 0.6459 0.2529
Se: 0.5043 0.3541 0.7471
Se: 0.6075 0.6075 0.6075
Se: 0.6286 0.8136 0.3526
Se: 0.6459 0.2529 0.4957
Se: 0.6474 0.3714 0.1864
Se: 0.6864 0.8714 0.1474
Se: 0.7471 0.5043 0.3541
Se: 0.7500 0.7500 0.7500
Se: 0.7529 0.1459 0.9957
Se: 0.8136 0.3526 0.6286
Se: 0.8526 0.3136 0.1286
Se: 0.8541 0.0043 0.2471
Se: 0.8714 0.1474 0.6864
Se: 0.8925 0.8925 0.8925
Se: 0.9957 0.7529 0.1459

Most intense lines, 2θ from 10° to 80°, by angle:
2θ (°)	intensity
11.9	100
15.0	26
18.4	23
28.2	54
30.3	21
31.9	21
37.3	21
43.1	40
44.1	31
48.3	32